1.
The following is a computed X-ray diffraction stick pattern of LiYCdPb. It was derived from a DFT-relaxed cell (GGA-PBE, Alexandria), using copper Kα.
Lines closer than 0.1° are merged.

Largest 10 diffraction maxima, in order of falling intensity, 2θ from 10° to 90°:
2θ 33.82, intensity 100.0; 2θ 26.37, intensity 27.0; 2θ 20.79, intensity 23.5; 2θ 18.09, intensity 20.1; 2θ 36.64, intensity 20.1; 2θ 38.62, intensity 17.4; 2θ 64.18, intensity 15.5; 2θ 28.33, intensity 13.9; 2θ 66.83, intensity 13.7; 2θ 42.30, intensity 13.5

Cell and atoms:
Lattice parameters (Å, degrees): 4.273 4.663 4.905 90.00 90.00 90.00
Sites, in units of the cell vectors:
Li 0.000 0.000 0.000
Y 0.000 0.500 0.500
Cd 0.500 0.500 0.000
Pb 0.500 0.000 0.500

---

2.
The following is a computed X-ray diffraction stick pattern of Zr6Be15Ni8. It was derived from a DFT-relaxed cell (GGA-PBE, Alexandria), using copper Kα.
Lines closer than 0.1° are merged.

Largest 10 diffraction maxima, in order of falling intensity, 2θ from 10° to 90°:
2θ 46.45, intensity 100.0; 2θ 35.38, intensity 69.6; 2θ 42.48, intensity 68.6; 2θ 27.95, intensity 64.2; 2θ 16.03, intensity 25.3; 2θ 69.59, intensity 24.0; 2θ 39.94, intensity 19.7; 2θ 26.74, intensity 18.2; 2θ 86.17, intensity 15.3; 2θ 74.28, intensity 14.4

Cell and atoms:
Lattice parameters (Å, degrees): 7.819 7.819 7.819 60.00 60.00 60.00
Sites, in units of the cell vectors:
Zr 0.210 0.210 0.790
Zr 0.210 0.790 0.210
Zr 0.210 0.790 0.790
Zr 0.790 0.210 0.210
Zr 0.790 0.210 0.790
Zr 0.790 0.790 0.210
Be 0.000 0.000 0.500
Be 0.000 0.500 0.000
Be 0.000 0.500 0.500
Be 0.178 0.178 0.178
Be 0.178 0.178 0.467
Be 0.178 0.467 0.178
Be 0.467 0.178 0.178
Be 0.500 0.000 0.000
Be 0.500 0.000 0.500
Be 0.500 0.500 0.000
Be 0.500 0.500 0.500
Be 0.533 0.822 0.822
Be 0.822 0.533 0.822
Be 0.822 0.822 0.533
Be 0.822 0.822 0.822
Ni 0.127 0.624 0.624
Ni 0.376 0.376 0.376
Ni 0.376 0.376 0.873
Ni 0.376 0.873 0.376
Ni 0.624 0.127 0.624
Ni 0.624 0.624 0.127
Ni 0.624 0.624 0.624
Ni 0.873 0.376 0.376

---

3.
The following is a computed X-ray diffraction stick pattern of NbTeSe2. It was derived from a DFT-relaxed cell (GGA-PBE, Alexandria), using copper Kα.
Lines closer than 0.1° are merged.

Largest 10 diffraction maxima, in order of falling intensity, 2θ from 10° to 90°:
2θ 33.70, intensity 100.0; 2θ 33.04, intensity 67.8; 2θ 41.91, intensity 54.9; 2θ 16.87, intensity 43.8; 2θ 53.38, intensity 25.2; 2θ 27.76, intensity 23.1; 2θ 65.11, intensity 21.3; 2θ 25.42, intensity 21.2; 2θ 48.55, intensity 19.9; 2θ 56.08, intensity 19.0

Cell and atoms:
Lattice parameters (Å, degrees): 5.980 3.376 10.679 90.00 100.22 90.00
Sites, in units of the cell vectors:
Nb 0.000 0.000 0.000
Nb 0.500 0.500 0.000
Te 0.239 0.996 0.546
Te 0.761 0.996 0.454
Se 0.117 0.500 0.837
Se 0.383 0.000 0.163
Se 0.617 0.000 0.837
Se 0.883 0.500 0.163

---

4.
The following is a computed X-ray diffraction stick pattern of SiH3Se. It was derived from a DFT-relaxed cell (GGA-PBE, Alexandria), using copper Kα.
Lines closer than 0.1° are merged.

Largest 10 diffraction maxima, in order of falling intensity, 2θ from 10° to 90°:
2θ 16.65, intensity 100.0; 2θ 29.35, intensity 55.8; 2θ 15.34, intensity 50.9; 2θ 20.17, intensity 49.5; 2θ 26.26, intensity 28.0; 2θ 33.66, intensity 26.9; 2θ 22.73, intensity 18.9; 2θ 31.71, intensity 18.6; 2θ 20.85, intensity 16.6; 2θ 44.53, intensity 16.0

Cell and atoms:
Lattice parameters (Å, degrees): 5.150 6.220 6.444 64.93 73.02 66.04
Sites, in units of the cell vectors:
Si 0.000 0.000 0.000
Si 0.468 0.575 0.562
H 0.055 0.244 0.902
H 0.266 0.782 0.059
H 0.299 0.465 0.508
H 0.472 0.489 0.815
H 0.760 0.543 0.423
H 0.763 0.994 0.201
Se 0.237 0.008 0.444
Se 0.824 0.964 0.727

---

5.
The following is a computed X-ray diffraction stick pattern of TbPmMn17. It was derived from a DFT-relaxed cell (GGA-PBE, Alexandria), using copper Kα.
Lines closer than 0.1° are merged.

Largest 10 diffraction maxima, in order of falling intensity, 2θ from 10° to 90°:
2θ 42.89, intensity 100.0; 2θ 41.58, intensity 91.8; 2θ 39.05, intensity 65.1; 2θ 35.80, intensity 47.0; 2θ 30.84, intensity 43.6; 2θ 44.47, intensity 33.3; 2θ 32.40, intensity 28.5; 2θ 61.27, intensity 28.2; 2θ 45.72, intensity 22.4; 2θ 46.66, intensity 20.8

Cell and atoms:
Lattice parameters (Å, degrees): 6.350 6.350 6.350 86.34 86.34 86.34
Sites, in units of the cell vectors:
Tb 0.000 0.000 0.000
Pm 0.290 0.290 0.290
Mn 0.000 0.000 0.523
Mn 0.000 0.523 0.000
Mn 0.146 0.647 0.647
Mn 0.291 0.291 0.769
Mn 0.291 0.769 0.291
Mn 0.372 0.647 0.920
Mn 0.372 0.920 0.647
Mn 0.523 0.000 0.000
Mn 0.547 0.547 0.547
Mn 0.647 0.146 0.647
Mn 0.647 0.372 0.920
Mn 0.647 0.647 0.146
Mn 0.647 0.920 0.372
Mn 0.745 0.745 0.745
Mn 0.769 0.291 0.291
Mn 0.920 0.372 0.647
Mn 0.920 0.647 0.372

---

6.
The following is a computed X-ray diffraction stick pattern of Rb8NdAs4S16. It was derived from a DFT-relaxed cell (GGA-PBE, Alexandria), using copper Kα.
Lines closer than 0.1° are merged.

Largest 10 diffraction maxima, in order of falling intensity, 2θ from 10° to 90°:
2θ 25.24, intensity 100.0; 2θ 31.70, intensity 36.5; 2θ 25.77, intensity 35.5; 2θ 33.28, intensity 35.1; 2θ 34.41, intensity 30.3; 2θ 35.23, intensity 30.1; 2θ 15.80, intensity 29.3; 2θ 27.42, intensity 24.7; 2θ 27.89, intensity 23.2; 2θ 16.26, intensity 19.6

Cell and atoms:
Lattice parameters (Å, degrees): 11.858 11.858 11.858 134.14 127.85 71.94
Sites, in units of the cell vectors:
Rb 0.162 0.540 0.870
Rb 0.202 0.202 0.000
Rb 0.253 0.753 0.500
Rb 0.330 0.460 0.621
Rb 0.670 0.291 0.130
Rb 0.747 0.247 0.500
Rb 0.798 0.798 0.000
Rb 0.838 0.709 0.379
Nd 0.500 0.000 0.500
As 0.142 0.080 0.467
As 0.387 0.920 0.063
As 0.613 0.676 0.533
As 0.858 0.324 0.937
S 0.004 0.208 0.374
S 0.030 0.027 0.522
S 0.165 0.792 0.796
S 0.186 0.861 0.261
S 0.363 0.226 0.717
S 0.400 0.139 0.325
S 0.491 0.774 0.138
S 0.495 0.973 0.003
S 0.505 0.508 0.478
S 0.509 0.646 0.283
S 0.600 0.925 0.739
S 0.637 0.354 0.862
S 0.814 0.075 0.675
S 0.835 0.630 0.626
S 0.970 0.492 0.997
S 0.996 0.370 0.204